[1]
Diffraction record for BaLiI3. The X-ray diffraction stick pattern is computed, not measured: it uses the GGA-PBE geometry in Alexandria and λ = 1.5418 Å (Cu Kα).

Cell and atoms:
Cell lengths 5.1137, 13.2555, 13.2555 Å; angles 144.97, 90.00, 90.00 degrees
Positions (direct):
Ba 0.2500 0.1647 0.8353
Ba 0.7500 0.8353 0.1647
Li 0.2500 0.3100 0.5310
Li 0.7500 0.5310 0.3100
I 0.2500 0.0442 0.4765
I 0.2500 0.3916 0.2409
I 0.2500 0.6572 0.8823
I 0.7500 0.2409 0.3916
I 0.7500 0.4765 0.0442
I 0.7500 0.8823 0.6572

Principal peaks in the range 2θ from 5° to 70°, in order of rising 2θ:
2θ = 15.29°, I = 25
2θ = 23.20°, I = 100
2θ = 27.10°, I = 29
2θ = 29.26°, I = 25
2θ = 30.87°, I = 24
2θ = 31.78°, I = 29

---

[2]
Diffraction record for Nd2Fe15Co2H3. The X-ray diffraction stick pattern is computed, not measured: it uses the GGA-PBE geometry in Alexandria and λ = 1.5418 Å (Cu Kα).

Cell and atoms:
Cell lengths 6.4445, 6.4445, 6.4445 Å; angles 83.93, 83.93, 83.93 degrees
Positions (direct):
Nd 0.1561 0.1561 0.1561
Nd 0.8439 0.8439 0.8439
Fe 0.0000 0.5000 0.5000
Fe 0.1597 0.1597 0.6501
Fe 0.1597 0.6501 0.1597
Fe 0.2169 0.5000 0.7831
Fe 0.2169 0.7831 0.5000
Fe 0.3499 0.8403 0.8403
Fe 0.5000 0.0000 0.5000
Fe 0.5000 0.2169 0.7831
Fe 0.5000 0.5000 0.0000
Fe 0.5000 0.7831 0.2169
Fe 0.6501 0.1597 0.1597
Fe 0.7831 0.2169 0.5000
Fe 0.7831 0.5000 0.2169
Fe 0.8403 0.3499 0.8403
Fe 0.8403 0.8403 0.3499
Co 0.4060 0.4060 0.4060
Co 0.5940 0.5940 0.5940
H 0.0000 0.0000 0.5000
H 0.0000 0.5000 0.0000
H 0.5000 0.0000 0.0000

Principal peaks in the range 2θ from 5° to 70°, in order of rising 2θ:
2θ = 30.10°, I = 41
2θ = 36.10°, I = 41
2θ = 37.94°, I = 31
2θ = 41.93°, I = 72
2θ = 42.51°, I = 100
2θ = 44.24°, I = 32

---

[3]
Diffraction record for Y3URu4. The X-ray diffraction stick pattern is computed, not measured: it uses the GGA-PBE geometry in Alexandria and λ = 1.5418 Å (Cu Kα).

Cell and atoms:
Cell lengths 6.2778, 6.2778, 6.2778 Å; angles 126.73, 105.96, 97.30 degrees
Positions (direct):
Y 0.0000 0.0000 0.0000
Y 0.1275 0.3734 0.7541
Y 0.6193 0.3734 0.2459
U 0.4470 0.9470 0.5000
Ru 0.0325 0.7181 0.3144
Ru 0.4037 0.7181 0.6856
Ru 0.6752 0.4374 0.7622
Ru 0.6752 0.9130 0.2378

Principal peaks in the range 2θ from 5° to 70°, in order of rising 2θ:
2θ = 15.86°, I = 46
2θ = 30.46°, I = 100
2θ = 35.72°, I = 36
2θ = 36.20°, I = 36
2θ = 43.63°, I = 47
2θ = 45.76°, I = 47

---

[4]
Diffraction record for PuAl5Zn2. The X-ray diffraction stick pattern is computed, not measured: it uses the GGA-PBE geometry in Alexandria and λ = 1.5418 Å (Cu Kα).

Cell and atoms:
Cell lengths 4.2968, 4.2968, 8.1395 Å; angles 105.18, 105.18, 90.12 degrees
Positions (direct):
Pu 0.0000 0.0000 0.0000
Al 0.1356 0.6362 0.2732
Al 0.3638 0.8644 0.7268
Al 0.5000 0.5000 0.0000
Al 0.6362 0.1356 0.2732
Al 0.8644 0.3638 0.7268
Zn 0.2408 0.2408 0.4817
Zn 0.7592 0.7592 0.5183

Principal peaks in the range 2θ from 5° to 70°, in order of rising 2θ:
2θ = 21.50°, I = 75
2θ = 23.54°, I = 29
2θ = 27.27°, I = 30
2θ = 29.40°, I = 34
2θ = 38.00°, I = 100
2θ = 42.06°, I = 39

---

[5]
Diffraction record for CePrY5. The X-ray diffraction stick pattern is computed, not measured: it uses the GGA-PBE geometry in Alexandria and λ = 1.5418 Å (Cu Kα).

Cell and atoms:
Cell lengths 6.9730, 6.9730, 11.3104 Å; angles 90.00, 90.00, 57.92 degrees
Positions (direct):
Ce 0.0000 0.0000 0.0000
Ce 0.0000 0.0000 0.5000
Pr 0.3265 0.6735 0.7500
Pr 0.6735 0.3265 0.2500
Y 0.0983 0.3388 0.2500
Y 0.2327 0.7673 0.2500
Y 0.3388 0.0983 0.7500
Y 0.3511 0.3511 0.0000
Y 0.3511 0.3511 0.5000
Y 0.6489 0.6489 0.0000
Y 0.6489 0.6489 0.5000
Y 0.6612 0.9017 0.2500
Y 0.7673 0.2327 0.7500
Y 0.9017 0.6612 0.7500

Principal peaks in the range 2θ from 5° to 70°, in order of rising 2θ:
2θ = 30.13°, I = 100
2θ = 30.85°, I = 56
2θ = 31.30°, I = 43
2θ = 31.64°, I = 61
2θ = 33.37°, I = 27
2θ = 56.97°, I = 31

---

[6]
Diffraction record for Zr4ReP. The X-ray diffraction stick pattern is computed, not measured: it uses the GGA-PBE geometry in Alexandria and λ = 1.5418 Å (Cu Kα).

Cell and atoms:
Cell lengths 5.5409, 5.5409, 5.5409 Å; angles 60.00, 60.00, 60.00 degrees
Positions (direct):
Zr 0.3763 0.3763 0.3763
Zr 0.3763 0.3763 0.8711
Zr 0.3763 0.8711 0.3763
Zr 0.8711 0.3763 0.3763
Re 0.7500 0.7500 0.7500
P 0.0000 0.0000 0.0000

Principal peaks in the range 2θ from 5° to 70°, in order of rising 2θ:
2θ = 19.62°, I = 19
2θ = 32.31°, I = 29
2θ = 38.09°, I = 100
2θ = 39.85°, I = 38
2θ = 61.49°, I = 32
2θ = 67.63°, I = 24